Structure and theoretical XRD peak list of V2RuSe6 (a structure optimized by DFT (PBE); Cu Kα).
Neutral-atom scattering factors, no anomalous dispersion.

Most intense lines, 5° ≤ 2θ ≤ 70°, sorted by position:
2theta, I (rel.)
21.2, 52
33.0, 100
33.8, 34
42.6, 52
43.2, 34
53.1, 44

Structural model:
```
V2RuSe6
1.0
5.9225 0.0000 0.0000
0.0000 5.9225 0.0000
0.0000 0.0000 10.6701
V Ru Se
4 2 12
Cartesian
0.0000 0.0000 1.6109
0.0000 0.0000 9.0593
2.9613 2.9613 3.7242
2.9613 2.9613 6.9459
0.0000 0.0000 5.3351
2.9613 2.9613 0.0000
1.1707 1.1707 3.4839
1.1707 1.1707 7.1862
1.2381 1.2381 0.0000
1.7231 4.1994 5.3351
1.7905 4.1320 1.8512
1.7905 4.1320 8.8190
4.1320 1.7905 1.8512
4.1320 1.7905 8.8190
4.1994 1.7231 5.3351
4.6844 4.6844 0.0000
4.7518 4.7518 3.4839
4.7518 4.7518 7.1862
```

=====

Structure and theoretical XRD peak list of Re2MoC (a structure optimized by DFT (PBE); Cu Kα).
Neutral-atom scattering factors, no anomalous dispersion.

Most intense lines, 5° ≤ 2θ ≤ 70°, sorted by position:
2theta, I (rel.)
30.8, 100
34.8, 15
38.2, 49
48.5, 14
53.5, 27
69.9, 15

Structural model:
```
Re2MoC
1.0
5.4630 0.0000 0.0000
0.0000 5.4630 0.0000
0.0000 0.0000 8.7847
Re Mo C
8 4 4
Cartesian
0.9076 1.3658 1.0981
1.3658 3.6391 3.2943
1.3658 4.5554 7.6866
1.8239 1.3658 5.4904
3.6391 4.0973 5.4904
4.0973 0.9076 7.6866
4.0973 1.8239 3.2943
4.5554 4.0973 1.0981
0.0000 0.0000 4.3924
0.0000 2.7315 6.5885
2.7315 0.0000 2.1962
2.7315 2.7315 0.0000
0.0000 0.0000 0.0000
0.0000 2.7315 2.1962
2.7315 0.0000 6.5885
2.7315 2.7315 4.3924
```

=====

Structure and theoretical XRD peak list of Li5Ca3 (a structure optimized by DFT (PBE); Cu Kα).
Neutral-atom scattering factors, no anomalous dispersion.

Most intense lines, 5° ≤ 2θ ≤ 70°, sorted by position:
2theta, I (rel.)
21.4, 23
22.8, 35
22.9, 68
32.4, 25
32.5, 100
32.9, 25

Structural model:
```
Li5Ca3
1.0
7.8053 0.0000 0.0000
0.0000 11.0396 0.0000
0.0000 0.0000 5.4522
Li Ca
10 6
Cartesian
0.0000 0.0000 0.0000
1.9413 0.0000 2.7261
1.9513 2.7599 0.0000
1.9513 8.2797 0.0000
1.9613 5.5198 2.7261
3.9026 5.5198 0.0000
5.8440 5.5198 2.7261
5.8539 2.7599 0.0000
5.8539 8.2797 0.0000
5.8639 0.0000 2.7261
0.0000 2.6632 2.7261
0.0000 5.5198 0.0000
0.0000 8.3764 2.7261
3.9026 0.0000 0.0000
3.9026 2.8566 2.7261
3.9026 8.1830 2.7261
```

=====

Structure and theoretical XRD peak list of DyCoHg (a structure optimized by DFT (PBE); Cu Kα).
Neutral-atom scattering factors, no anomalous dispersion.

Most intense lines, 5° ≤ 2θ ≤ 70°, sorted by position:
2theta, I (rel.)
31.9, 40
33.1, 100
35.6, 71
40.4, 35
46.4, 20
60.6, 31

Structural model:
```
DyCoHg
1.0
3.9115 0.0000 0.0000
0.0000 16.4698 0.0000
0.0000 0.0000 3.8421
Dy Co Hg
4 4 4
Cartesian
0.0000 1.5668 0.9605
0.0000 14.9030 2.8816
1.9558 6.6681 2.8816
1.9558 9.8017 0.9605
0.0000 7.6674 0.9605
0.0000 8.8025 2.8816
1.9558 0.5675 2.8816
1.9558 15.9023 0.9605
0.0000 4.9230 0.9605
0.0000 11.5468 2.8816
1.9558 3.3119 2.8816
1.9558 13.1579 0.9605
```

=====

Structure and theoretical XRD peak list of Cd17Ag12 (a structure optimized by DFT (PBE); Cu Kα).
Neutral-atom scattering factors, no anomalous dispersion.

Most intense lines, 5° ≤ 2θ ≤ 70°, sorted by position:
2theta, I (rel.)
33.9, 18
36.0, 100
40.0, 36
41.8, 13
43.6, 22
64.7, 20

Structural model:
```
Cd17Ag12
1.0
-5.2915 5.2915 5.2915
5.2915 -5.2915 5.2915
5.2915 5.2915 -5.2915
Cd Ag
17 12
Cartesian
0.0000 0.0000 0.0000
3.5492 3.5492 -3.5492
5.8701 1.4598 -1.4598
3.5492 -3.5492 3.5492
5.8701 -1.4598 1.4598
4.7129 1.4598 1.4598
3.8317 3.8317 -0.5786
3.8317 -0.5786 3.8317
1.7423 1.7423 1.7423
1.4598 5.8701 -1.4598
1.4598 -1.4598 5.8701
1.4598 4.7129 1.4598
1.4598 1.4598 4.7129
-3.5492 3.5492 3.5492
-1.4598 5.8701 1.4598
-1.4598 1.4598 5.8701
-0.5786 3.8317 3.8317
3.0193 1.0006 -1.0006
3.0193 -1.0006 1.0006
7.5637 1.0006 1.0006
1.0006 3.0193 -1.0006
1.0006 -1.0006 3.0193
-1.0006 3.0193 1.0006
-1.0006 1.0006 3.0193
4.2909 4.2909 2.2722
4.2909 2.2722 4.2909
1.0006 7.5637 1.0006
1.0006 1.0006 7.5637
2.2722 4.2909 4.2909
```

=====

Structure and theoretical XRD peak list of Li2AcTlHg2 (a structure optimized by DFT (PBE); Cu Kα).
Neutral-atom scattering factors, no anomalous dispersion.

Most intense lines, 5° ≤ 2θ ≤ 70°, sorted by position:
2theta, I (rel.)
24.4, 61
32.3, 100
37.1, 62
50.0, 30
63.4, 26
63.9, 29

Structural model:
```
Li2AcTlHg2
1.0
4.8481 0.0000 0.0000
-2.4241 4.1986 0.0000
0.0000 0.0000 7.3779
Li Ac Tl Hg
2 1 1 2
Cartesian
0.0000 2.7991 1.0303
2.4241 1.3995 6.3476
0.0000 0.0000 3.6889
0.0000 0.0000 0.0000
0.0000 2.7991 5.5385
2.4241 1.3995 1.8394
```

=====

Please write out number 5 again, unchanged.
Structure and theoretical XRD peak list of Cd17Ag12 (a structure optimized by DFT (PBE); Cu Kα).
Neutral-atom scattering factors, no anomalous dispersion.

Most intense lines, 5° ≤ 2θ ≤ 70°, sorted by position:
2theta, I (rel.)
33.9, 18
36.0, 100
40.0, 36
41.8, 13
43.6, 22
64.7, 20

Structural model:
```
Cd17Ag12
1.0
-5.2915 5.2915 5.2915
5.2915 -5.2915 5.2915
5.2915 5.2915 -5.2915
Cd Ag
17 12
Cartesian
0.0000 0.0000 0.0000
3.5492 3.5492 -3.5492
5.8701 1.4598 -1.4598
3.5492 -3.5492 3.5492
5.8701 -1.4598 1.4598
4.7129 1.4598 1.4598
3.8317 3.8317 -0.5786
3.8317 -0.5786 3.8317
1.7423 1.7423 1.7423
1.4598 5.8701 -1.4598
1.4598 -1.4598 5.8701
1.4598 4.7129 1.4598
1.4598 1.4598 4.7129
-3.5492 3.5492 3.5492
-1.4598 5.8701 1.4598
-1.4598 1.4598 5.8701
-0.5786 3.8317 3.8317
3.0193 1.0006 -1.0006
3.0193 -1.0006 1.0006
7.5637 1.0006 1.0006
1.0006 3.0193 -1.0006
1.0006 -1.0006 3.0193
-1.0006 3.0193 1.0006
-1.0006 1.0006 3.0193
4.2909 4.2909 2.2722
4.2909 2.2722 4.2909
1.0006 7.5637 1.0006
1.0006 1.0006 7.5637
2.2722 4.2909 4.2909
```